No. 1
Starting from a cell relaxed with GGA-PBE, the powder X-ray diffraction pattern of Ti2TcNi9 was calculated for Cu Kα.
No peak broadening, texture or thermal motion is included.

Main lines, low angle first (10 to 80 degrees two-theta):
2θ (°)	I_rel	hkl
16.4	11	0 0 2
25.9	19	1 0 1
29.7	13	1 0 2
36.0	9	1 1 1
38.9	8	1 1 2
43.3	1000	1 1 3
50.4	312	2 0 0
50.5	154	0 0 6
74.0	91	2 2 0
74.2	180	2 0 6

Cell and atoms:
a b c (Å): 3.6212 3.6212 10.8359
angles (deg): 90.00 90.00 90.00
Fractional positions:
Ti1 0.0000 0.0000 0.1666
Ti2 0.0000 0.0000 0.8334
Tc1 0.0000 0.0000 0.5000
Ni1 0.0000 0.5000 0.0000
Ni2 0.0000 0.5000 0.3312
Ni3 0.0000 0.5000 0.6688
Ni4 0.5000 0.0000 0.0000
Ni5 0.5000 0.0000 0.3312
Ni6 0.5000 0.0000 0.6688
Ni7 0.5000 0.5000 0.1658
Ni8 0.5000 0.5000 0.5000
Ni9 0.5000 0.5000 0.8342



No. 2
Starting from a cell relaxed with GGA-PBE, the powder X-ray diffraction pattern of TlTcNi2 was calculated for Cu Kα.
No peak broadening, texture or thermal motion is included.

Main lines, low angle first (10 to 80 degrees two-theta):
2θ (°)	I_rel	hkl
15.1	71	0 0 1
28.1	238	1 0 0
30.4	116	0 0 2
32.0	200	1 0 1
40.2	602	1 1 0
41.9	1000	1 0 2
51.2	114	1 1 2
58.1	200	2 0 0
74.2	358	2 1 2
77.6	130	1 1 4

Cell and atoms:
a b c (Å): 3.1737 3.1737 5.8855
angles (deg): 90.00 90.00 90.00
Fractional positions:
Tl1 0.0000 0.0000 0.0000
Tc1 0.0000 0.0000 0.5000
Ni1 0.5000 0.5000 0.2880
Ni2 0.5000 0.5000 0.7120



No. 3
Starting from a cell relaxed with GGA-PBE, the powder X-ray diffraction pattern of Tl2TcNi was calculated for Cu Kα.
No peak broadening, texture or thermal motion is included.

Main lines, low angle first (10 to 80 degrees two-theta):
2θ (°)	I_rel	hkl
18.9	186	0 0 2
28.5	432	0 0 3
31.6	665	1 0 1
35.8	1000	1 0 2
41.9	305	1 0 3
43.1	528	1 1 0
52.5	324	1 1 3
62.6	174	2 0 0
66.8	189	1 1 5
74.3	238	2 1 2

Cell and atoms:
a b c (Å): 2.9669 2.9669 9.4109
angles (deg): 90.00 90.00 90.00
Fractional positions:
Tl1 0.0000 0.0000 0.0000
Tl2 0.5000 0.5000 0.3686
Tc1 0.5000 0.5000 0.7523
Ni1 0.0000 0.0000 0.6066



No. 4
Starting from a cell relaxed with GGA-PBE, the powder X-ray diffraction pattern of TlTc2Ni was calculated for Cu Kα.
No peak broadening, texture or thermal motion is included.

Main lines, low angle first (10 to 80 degrees two-theta):
2θ (°)	I_rel	hkl
22.9	85	0 0 2
25.9	81	1 0 1
39.5	1000	1 1 2
43.6	189	0 2 0
46.8	152	0 0 4
47.4	149	2 0 0
65.9	107	0 2 4
66.4	107	2 2 0
68.8	94	2 0 4
77.4	136	1 3 2

Cell and atoms:
a b c (Å): 3.8390 4.1481 7.7672
angles (deg): 90.00 90.00 90.00
Fractional positions:
Tl1 0.0000 0.0000 0.0000
Tl2 0.5000 0.5000 0.5000
Tc1 0.0000 0.0000 0.4938
Tc2 0.0000 0.5000 0.7593
Tc3 0.5000 0.0000 0.2593
Tc4 0.5000 0.5000 0.9938
Ni1 0.0000 0.5000 0.2498
Ni2 0.5000 0.0000 0.7498



No. 5
Starting from a cell relaxed with GGA-PBE, the powder X-ray diffraction pattern of Tm6TcNi was calculated for Cu Kα.
No peak broadening, texture or thermal motion is included.

Main lines, low angle first (10 to 80 degrees two-theta):
2θ (°)	I_rel	hkl
28.2	102	1 1 0
30.5	188	0 0 2
32.1	1000	1 1 1
32.7	102	2 0 0
34.7	79	1 0 2
42.0	289	2 -1 2
49.9	240	3 0 0
55.2	217	2 -1 3
59.6	138	3 0 2
60.6	139	4 -2 1

Cell and atoms:
a b c (Å): 6.3330 6.3330 5.8617
angles (deg): 90.00 90.00 120.00
Fractional positions:
Tm1 0.0000 0.3615 0.2489
Tm2 0.0000 0.6385 0.7511
Tm3 0.3615 0.0000 0.2489
Tm4 0.3615 0.3615 0.7511
Tm5 0.6385 0.0000 0.7511
Tm6 0.6385 0.6385 0.2489
Tc1 0.0000 0.0000 0.5000
Ni1 0.0000 0.0000 0.0000



No. 6
Starting from a cell relaxed with GGA-PBE, the powder X-ray diffraction pattern of UZnTcNi was calculated for Cu Kα.
No peak broadening, texture or thermal motion is included.

Main lines, low angle first (10 to 80 degrees two-theta):
2θ (°)	I_rel	hkl
24.2	282	1 1 1
28.0	101	2 0 0
40.1	1000	2 2 0
47.4	152	3 1 1
49.6	31	2 2 2
57.9	168	4 0 0
63.7	67	3 3 1
65.6	44	4 2 0
72.8	342	4 2 2
78.0	54	5 1 1

Cell and atoms:
a b c (Å): 6.3663 6.3663 6.3663
angles (deg): 90.00 90.00 90.00
Fractional positions:
U1 0.0000 0.0000 0.0000
U2 0.0000 0.5000 0.5000
U3 0.5000 0.0000 0.5000
U4 0.5000 0.5000 0.0000
Zn1 0.0000 0.0000 0.5000
Zn2 0.0000 0.5000 0.0000
Zn3 0.5000 0.0000 0.0000
Zn4 0.5000 0.5000 0.5000
Tc1 0.2500 0.2500 0.2500
Tc2 0.2500 0.7500 0.7500
Tc3 0.7500 0.2500 0.7500
Tc4 0.7500 0.7500 0.2500
Ni1 0.2500 0.2500 0.7500
Ni2 0.2500 0.7500 0.2500
Ni3 0.7500 0.2500 0.2500
Ni4 0.7500 0.7500 0.7500